# 1
Computed powder XRD pattern of NbPd2 for Cu Kα (weighted mean of Kα1 and Kα2), from a crystal structure in the Materials Project, relaxed with PBE.
Kinematic intensities with the Lorentz-polarization factor, no thermal factor.

Crystal structure
abc: 4.9043 4.9043 4.9043
angles: 145.90 132.80 59.50
Element x y z (fractional)
Nb1 0.0000 0.0000 0.0000
Pd1 0.3342 0.3342 0.0000
Pd2 0.6658 0.6658 0.0000

Most intense lines, 2θ = 10–90°, low angle first:
38.81°, I = 1000
39.16°, I = 975
44.87°, I = 658
46.24°, I = 301
64.85°, I = 107
66.40°, I = 397
78.44°, I = 244
79.10°, I = 239
80.65°, I = 114
80.87°, I = 113
83.30°, I = 105
84.17°, I = 103

# 2
Computed powder XRD pattern of EuZn2Ga2 for Cu Kα (weighted mean of Kα1 and Kα2), from a crystal structure in the Materials Project, relaxed with PBE.
Kinematic intensities with the Lorentz-polarization factor, no thermal factor.

Crystal structure
abc: 6.1889 6.1889 6.1889
angles: 138.90 138.90 59.53
Element x y z (fractional)
Eu1 0.0000 0.0000 0.0000
Zn1 0.3850 0.3850 0.0000
Zn2 0.6150 0.6150 0.0000
Ga1 0.2500 0.7500 0.5000
Ga2 0.7500 0.2500 0.5000

Most intense lines, 2θ = 10–90°, low angle first:
29.06°, I = 160
32.39°, I = 594
33.60°, I = 1000
41.57°, I = 537
47.18°, I = 296
53.66°, I = 278
59.77°, I = 114
60.24°, I = 174
64.67°, I = 225
70.07°, I = 112
70.78°, I = 222
84.89°, I = 194

# 3
Computed powder XRD pattern of Sm2AlAg3 for Cu Kα (weighted mean of Kα1 and Kα2), from a crystal structure in the Materials Project, relaxed with PBE.
Kinematic intensities with the Lorentz-polarization factor, no thermal factor.

Crystal structure
abc: 5.8157 5.8157 7.2203
angles: 126.47 126.47 47.54
Element x y z (fractional)
Sm1 0.0000 0.0000 0.0000
Sm2 0.0796 0.0796 0.5836
Al1 0.7121 0.7121 0.4080
Ag1 0.3643 0.3643 0.5714
Ag2 0.3902 0.3902 0.1814
Ag3 0.7010 0.7010 0.0058

Most intense lines, 2θ = 10–90°, low angle first:
21.93°, I = 171
31.39°, I = 319
32.07°, I = 107
32.62°, I = 286
32.91°, I = 431
33.56°, I = 699
33.91°, I = 171
38.46°, I = 1000
51.24°, I = 180
62.05°, I = 105
66.38°, I = 104
69.52°, I = 100

# 4
Computed powder XRD pattern of Ba4CaZr5O15 for Cu Kα (weighted mean of Kα1 and Kα2), from a crystal structure in the Materials Project, relaxed with PBE.
Kinematic intensities with the Lorentz-polarization factor, no thermal factor.

Crystal structure
abc: 15.2630 15.2630 4.2337
angles: 90.00 90.00 157.37
Element x y z (fractional)
Ba1 0.0998 0.9002 0.0000
Ba2 0.3000 0.7000 0.0000
Ba3 0.7000 0.3000 0.0000
Ba4 0.9002 0.0998 0.0000
Ca1 0.5000 0.5000 0.0000
Zr1 0.0000 0.0000 0.5000
Zr2 0.1999 0.8001 0.5000
Zr3 0.4006 0.5994 0.5000
Zr4 0.5994 0.4006 0.5000
Zr5 0.8001 0.1999 0.5000
O1 0.0000 0.0000 0.0000
O2 0.0000 0.5000 0.5000
O3 0.1003 0.4000 0.5000
O4 0.2000 0.8000 0.0000
O5 0.2031 0.3018 0.5000
O6 0.3018 0.2031 0.5000
O7 0.4000 0.1003 0.5000
O8 0.4007 0.5993 0.0000
O9 0.5000 0.0000 0.5000
O10 0.5993 0.4007 0.0000
O11 0.6000 0.8997 0.5000
O12 0.6982 0.7969 0.5000
O13 0.7969 0.6982 0.5000
O14 0.8000 0.2000 0.0000
O15 0.8997 0.6000 0.5000

Most intense lines, 2θ = 10–90°, low angle first:
11.83°, I = 11
15.09°, I = 14
17.27°, I = 10
29.85°, I = 1000
36.77°, I = 51
42.71°, I = 330
52.98°, I = 399
62.00°, I = 202
70.32°, I = 172
74.30°, I = 14
78.22°, I = 66
85.90°, I = 207

# 5
Computed powder XRD pattern of SnICl for Cu Kα (weighted mean of Kα1 and Kα2), from a crystal structure in the Materials Project, relaxed with PBE.
Kinematic intensities with the Lorentz-polarization factor, no thermal factor.

Crystal structure
abc: 9.0147 4.4320 10.5102
angles: 90.00 90.00 90.00
Element x y z (fractional)
Sn1 0.1345 0.2500 0.1453
Sn2 0.3655 0.7500 0.6453
Sn3 0.6345 0.2500 0.3547
Sn4 0.8655 0.7500 0.8547
I1 0.0172 0.7500 0.3245
I2 0.4828 0.2500 0.8245
I3 0.5172 0.7500 0.1755
I4 0.9828 0.2500 0.6755
Cl1 0.1372 0.7500 0.9469
Cl2 0.3628 0.2500 0.4469
Cl3 0.6372 0.7500 0.5531
Cl4 0.8628 0.2500 0.0531

Most intense lines, 2θ = 10–90°, low angle first:
16.87°, I = 127
19.70°, I = 171
21.45°, I = 295
28.14°, I = 1000
29.52°, I = 357
30.95°, I = 217
34.11°, I = 275
39.51°, I = 202
40.72°, I = 197
41.18°, I = 179
46.00°, I = 296
58.03°, I = 135

# 6
Computed powder XRD pattern of OsCl2O for Cu Kα (weighted mean of Kα1 and Kα2), from a crystal structure in the Materials Project, relaxed with PBE.
Kinematic intensities with the Lorentz-polarization factor, no thermal factor.

Crystal structure
abc: 6.8501 6.8501 6.8501
angles: 149.26 148.47 44.61
Element x y z (fractional)
Os1 0.0000 0.0000 0.0000
Cl1 0.1250 0.6250 0.5000
Cl2 0.8750 0.3750 0.5000
O1 0.5000 0.0000 0.5000

Most intense lines, 2θ = 10–90°, low angle first:
13.97°, I = 1000
24.93°, I = 616
25.52°, I = 268
32.05°, I = 92
32.52°, I = 413
37.40°, I = 254
43.54°, I = 180
45.12°, I = 296
56.10°, I = 82
56.88°, I = 158
59.99°, I = 135
67.56°, I = 93

# 7
Computed powder XRD pattern of CaSiH4O2F6 for Cu Kα (weighted mean of Kα1 and Kα2), from a crystal structure in the Materials Project, relaxed with PBE.
Kinematic intensities with the Lorentz-polarization factor, no thermal factor.

Crystal structure
abc: 5.8151 9.3213 11.2594
angles: 90.00 111.29 90.00
Element x y z (fractional)
Ca1 0.2056 0.1848 0.0462
Ca2 0.2056 0.3152 0.5462
Ca3 0.7944 0.6848 0.4538
Ca4 0.7944 0.8152 0.9538
Si1 0.1364 0.5364 0.2342
Si2 0.1364 0.9636 0.7342
Si3 0.8636 0.0364 0.2658
Si4 0.8636 0.4636 0.7658
H1 0.2171 0.5922 0.6758
H2 0.2171 0.9078 0.1758
H3 0.3258 0.6481 0.5741
H4 0.3258 0.8519 0.0741
H5 0.3426 0.6483 0.9517
H6 0.3426 0.8517 0.4517
H7 0.4684 0.1398 0.4072
H8 0.4684 0.3602 0.9072
H9 0.5316 0.6398 0.0928
H10 0.5316 0.8602 0.5928
H11 0.6574 0.1483 0.5483
H12 0.6574 0.3517 0.0483
H13 0.6742 0.1481 0.9259
H14 0.6742 0.3519 0.4259
H15 0.7829 0.0922 0.8242
H16 0.7829 0.4078 0.3242
O1 0.2045 0.5811 0.5866
O2 0.2045 0.9189 0.0866
O3 0.4732 0.7023 0.0180
O4 0.4732 0.7977 0.5180
O5 0.5268 0.2023 0.4820
O6 0.5268 0.2977 0.9820
O7 0.7955 0.0811 0.9134
O8 0.7955 0.4189 0.4134
F1 0.0103 0.6526 0.3135
F2 0.0103 0.8474 0.8135
F3 0.0321 0.6414 0.1019
F4 0.0321 0.8586 0.6019
F5 0.1424 0.5544 0.8177
F6 0.1424 0.9456 0.3177
F7 0.2423 0.0676 0.8689
F8 0.2423 0.4324 0.3689
F9 0.2593 0.0841 0.6589
F10 0.2593 0.4159 0.1589
F11 0.4094 0.6322 0.2867
F12 0.4094 0.8678 0.7867
F13 0.5906 0.1322 0.2133
F14 0.5906 0.3678 0.7133
F15 0.7407 0.5841 0.8411
F16 0.7407 0.9159 0.3411
F17 0.7577 0.5676 0.6311
F18 0.7577 0.9324 0.1311
F19 0.8576 0.0544 0.6823
F20 0.8576 0.4456 0.1823
F21 0.9679 0.1414 0.3981
F22 0.9679 0.3586 0.8981
F23 0.9897 0.1526 0.1865
F24 0.9897 0.3474 0.6865

Most intense lines, 2θ = 10–90°, low angle first:
16.36°, I = 775
18.15°, I = 437
21.09°, I = 348
23.10°, I = 262
25.57°, I = 1000
26.60°, I = 581
39.38°, I = 377
39.62°, I = 239
42.09°, I = 345
46.85°, I = 257
50.03°, I = 244
53.32°, I = 319